This entry pairs a crystal structure of CsLiMoF6 with its simulated X-ray diffraction stick pattern. Radiation: CuKα. Structure: a PBE+U-relaxed structure.
Neutral-atom scattering factors, no anomalous dispersion.

Structural model:
a b c (Å): 5.450 5.475 6.525
angles (deg): 90.32 90.67 118.17
Sites, in units of the cell vectors:
Cs (0.000, 0.000, 0.000)
Li (0.324, 0.680, 0.500)
Mo (0.662, 0.339, 0.500)
F (0.378, 0.022, 0.667)
F (0.379, 0.384, 0.329)
F (0.613, 0.022, 0.322)
F (0.619, 0.622, 0.671)
F (0.979, 0.626, 0.335)
F (0.981, 0.389, 0.678)

Main lines, by angle (5 to 70 degrees two-theta):
2θ (°)  d (Å)  I/Imax  (hkl)
18.43  4.815  36.9  1 0 0
18.94  4.686  22.4  1 -1 0
22.80  3.901  100.0  0 1 -1
23.06  3.857  47.9  0 1 1
23.17  3.839  47.1  1 0 1
23.37  3.806  90.1  1 -1 1
27.34  3.262  19.5  0 0 2
32.91  2.722  25.2  2 -1 0
40.92  2.205  16.6  2 -2 1
42.12  2.145  24.7  1 1 -2
43.27  2.091  22.6  -1 2 2
43.53  2.079  22.2  2 -1 2